Sc5Re2C7: simulated PXRD pattern (Cu Kα X-rays), based on a cell relaxed with GGA-PBE.

Most intense lines, 10 to 90 degrees two-theta, by angle:
two_theta  d/Å  I/Imax  hkl
12.90  6.863  100  0 2 0
26.24  3.396  34  2 2 0
30.71  2.911  35  0 2 1
34.79  2.578  39  2 4 0
36.17  2.484  63  2 0 1
38.35  2.347  54  0 4 1

Crystal structure
```
data_Sc5Re2C7
_chemical_formula_sum 'Sc10 Re4 C14'
_cell_length_a 7.816
_cell_length_b 13.726
_cell_length_c 3.217
_cell_angle_alpha 90.00
_cell_angle_beta 90.00
_cell_angle_gamma 90.00
_space_group_name_H-M_alt 'C m m m'
_space_group_IT_number 65
_space_group_name_Hall '-C 2 2'
loop_
_atom_site_label
_atom_site_type_symbol
_atom_site_fract_x
_atom_site_fract_y
_atom_site_fract_z
_atom_site_occupancy
Sc1 Sc 0.000 0.000 0.000 1
Sc2 Sc 0.211 0.372 0.500 1
Re1 Re 0.000 0.215 0.000 1
C1 C 0.000 0.119 0.500 1
C2 C 0.000 0.500 0.000 1
C3 C 0.173 0.500 0.000 1
C4 C 0.250 0.250 0.000 1
```